1.
Simulated PXRD pattern of Tb4UN5 for Cu Kα, from a crystal structure in Alexandria, relaxed with PBE.

Main lines, in order of rising 2θ (2θ from 15° to 90°):
| Position (°2θ) | intensity |
| --- | --- |
| 31.53 | 100 |
| 36.45 | 23 |
| 36.62 | 46 |
| 52.63 | 32 |
| 62.76 | 30 |
| 65.82 | 16 |

Structure:
```
Tb4UN5
1.0
-3.880 3.880 2.465
3.880 -3.880 2.465
3.880 3.880 -2.465
Tb U N
4 1 5
direct
0.099 0.301 0.400 Tb
0.301 0.901 0.201 Tb
0.699 0.099 0.799 Tb
0.901 0.699 0.600 Tb
0.500 0.500 0.000 U
0.000 0.000 0.000 N
0.220 0.592 0.812 N
0.408 0.220 0.628 N
0.592 0.780 0.372 N
0.780 0.408 0.188 N
```



2.
Simulated PXRD pattern of Tb2WN4 for Cu Kα, from a crystal structure in Alexandria, relaxed with PBE.

Main lines, in order of rising 2θ (2θ from 15° to 90°):
| Position (°2θ) | intensity |
| --- | --- |
| 28.54 | 60 |
| 29.94 | 98 |
| 30.75 | 100 |
| 36.31 | 49 |
| 46.81 | 48 |
| 51.95 | 27 |

Structure:
```
Tb2WN4
1.0
0.000 5.215 6.255
3.285 0.000 6.255
3.285 5.215 0.000
Tb W N
4 2 8
direct
0.068 0.682 0.068 Tb
0.318 0.932 0.318 Tb
0.682 0.068 0.682 Tb
0.932 0.318 0.932 Tb
0.375 0.375 0.375 W
0.625 0.625 0.625 W
0.171 0.730 0.343 N
0.255 0.343 0.730 N
0.270 0.829 0.745 N
0.343 0.255 0.171 N
0.657 0.745 0.829 N
0.730 0.171 0.255 N
0.745 0.657 0.270 N
0.829 0.270 0.657 N
```



3.
Simulated PXRD pattern of Tb2YN for Cu Kα, from a crystal structure in Alexandria, relaxed with PBE.

Main lines, in order of rising 2θ (2θ from 15° to 90°):
| Position (°2θ) | intensity |
| --- | --- |
| 28.33 | 51 |
| 29.80 | 100 |
| 32.27 | 37 |
| 39.23 | 84 |
| 52.58 | 38 |
| 60.80 | 36 |

Structure:
```
Tb2YN
1.0
1.741 1.005 9.452
-1.741 1.005 9.452
0.000 -2.010 9.452
Tb Y N
2 1 1
direct
0.120 0.120 0.120 Tb
0.880 0.880 0.880 Tb
0.000 0.000 0.000 Y
0.500 0.500 0.500 N
```



4.
Simulated PXRD pattern of Tb5YN6 for Cu Kα, from a crystal structure in Alexandria, relaxed with PBE.

Main lines, in order of rising 2θ (2θ from 15° to 90°):
| Position (°2θ) | intensity |
| --- | --- |
| 31.35 | 100 |
| 36.36 | 74 |
| 52.36 | 50 |
| 62.31 | 45 |
| 85.68 | 19 |
| 88.47 | 23 |

Structure:
```
Tb5YN6
1.0
3.026 -5.242 0.000
3.026 5.242 0.000
-2.016 0.000 5.707
Tb Y N
5 1 6
direct
0.000 0.000 0.000 Tb
0.167 0.833 0.500 Tb
0.333 0.667 0.000 Tb
0.667 0.333 0.000 Tb
0.833 0.167 0.500 Tb
0.500 0.500 0.500 Y
0.084 0.417 0.250 N
0.250 0.250 0.750 N
0.417 0.084 0.250 N
0.583 0.916 0.750 N
0.750 0.750 0.250 N
0.916 0.583 0.750 N
```



5.
Simulated PXRD pattern of TbY2N3 for Cu Kα, from a crystal structure in Alexandria, relaxed with PBE.

Main lines, in order of rising 2θ (2θ from 15° to 90°):
| Position (°2θ) | intensity |
| --- | --- |
| 31.44 | 100 |
| 36.46 | 82 |
| 52.51 | 55 |
| 62.49 | 44 |
| 85.96 | 19 |
| 88.77 | 24 |

Structure:
```
TbY2N3
1.0
3.018 -5.228 0.000
3.018 5.228 0.000
-2.012 0.000 5.692
Tb Y N
2 4 6
direct
0.167 0.833 0.000 Tb
0.833 0.167 0.000 Tb
0.000 0.000 0.500 Y
0.333 0.667 0.500 Y
0.500 0.500 0.000 Y
0.667 0.333 0.500 Y
0.084 0.417 0.750 N
0.250 0.250 0.251 N
0.417 0.084 0.750 N
0.583 0.916 0.250 N
0.750 0.750 0.749 N
0.916 0.583 0.250 N
```



6.
Simulated PXRD pattern of TbY2N2 for Cu Kα, from a crystal structure in Alexandria, relaxed with PBE.

Main lines, in order of rising 2θ (2θ from 15° to 90°):
| Position (°2θ) | intensity |
| --- | --- |
| 31.03 | 100 |
| 31.23 | 100 |
| 35.64 | 45 |
| 36.33 | 93 |
| 51.78 | 30 |
| 52.32 | 31 |

Structure:
```
TbY2N2
1.0
5.591 -2.475 0.000
5.591 2.475 0.000
-2.380 0.000 6.680
Tb Y N
2 4 4
direct
0.157 0.157 0.093 Tb
0.843 0.843 0.907 Tb
0.163 0.163 0.573 Y
0.493 0.493 0.266 Y
0.507 0.507 0.734 Y
0.837 0.837 0.427 Y
0.001 0.001 0.250 N
0.334 0.334 0.417 N
0.666 0.666 0.583 N
0.999 0.999 0.750 N
```



7.
Simulated PXRD pattern of Tb2YN2 for Cu Kα, from a crystal structure in Alexandria, relaxed with PBE.

Main lines, in order of rising 2θ (2θ from 15° to 90°):
| Position (°2θ) | intensity |
| --- | --- |
| 30.96 | 100 |
| 31.19 | 100 |
| 35.60 | 43 |
| 36.05 | 45 |
| 51.57 | 44 |
| 52.19 | 45 |

Structure:
```
Tb2YN2
1.0
5.591 -2.492 0.000
5.591 2.492 0.000
-2.402 0.000 6.670
Tb Y N
4 2 4
direct
0.007 0.007 0.235 Tb
0.337 0.337 0.926 Tb
0.663 0.663 0.074 Tb
0.993 0.993 0.765 Tb
0.343 0.343 0.408 Y
0.657 0.657 0.592 Y
0.166 0.166 0.084 N
0.499 0.499 0.251 N
0.501 0.501 0.749 N
0.834 0.834 0.916 N
```



8.
Simulated PXRD pattern of Tc2N3 for Cu Kα, from a crystal structure in Alexandria, relaxed with PBE.

Main lines, in order of rising 2θ (2θ from 15° to 90°):
| Position (°2θ) | intensity |
| --- | --- |
| 24.01 | 59 |
| 31.74 | 84 |
| 35.80 | 24 |
| 36.54 | 100 |
| 52.09 | 93 |
| 65.80 | 43 |

Structure:
```
Tc2N3
1.0
2.459 1.420 5.016
-2.459 1.420 5.016
0.000 -2.839 5.016
Tc N
4 6
direct
0.158 0.158 0.158 Tc
0.342 0.342 0.342 Tc
0.658 0.658 0.658 Tc
0.842 0.842 0.842 Tc
0.096 0.750 0.404 N
0.250 0.596 0.904 N
0.404 0.096 0.750 N
0.596 0.904 0.250 N
0.750 0.404 0.096 N
0.904 0.250 0.596 N
```



9.
Simulated PXRD pattern of Th3TcN6 for Cu Kα, from a crystal structure in Alexandria, relaxed with PBE.

Main lines, in order of rising 2θ (2θ from 15° to 90°):
| Position (°2θ) | intensity |
| --- | --- |
| 28.72 | 100 |
| 28.88 | 36 |
| 31.27 | 23 |
| 43.44 | 19 |
| 54.12 | 21 |
| 56.29 | 22 |

Structure:
```
Th3TcN6
1.0
4.714 -5.985 0.000
4.714 5.985 0.000
0.000 0.000 5.720
Th Tc N
6 2 12
direct
0.102 0.898 0.500 Th
0.196 0.404 0.525 Th
0.404 0.196 0.025 Th
0.596 0.804 0.525 Th
0.804 0.596 0.025 Th
0.898 0.102 0.000 Th
0.306 0.694 0.072 Tc
0.694 0.306 0.572 Tc
0.088 0.607 0.229 N
0.151 0.167 0.266 N
0.167 0.151 0.766 N
0.290 0.710 0.745 N
0.393 0.912 0.229 N
0.449 0.551 0.202 N
0.551 0.449 0.702 N
0.607 0.088 0.729 N
0.710 0.290 0.245 N
0.833 0.849 0.266 N
0.849 0.833 0.766 N
0.912 0.393 0.729 N
```



10.
Simulated PXRD pattern of ThTcN4 for Cu Kα, from a crystal structure in Alexandria, relaxed with PBE.

Main lines, in order of rising 2θ (2θ from 15° to 90°):
| Position (°2θ) | intensity |
| --- | --- |
| 28.14 | 100 |
| 29.21 | 19 |
| 34.19 | 25 |
| 45.57 | 29 |
| 51.13 | 20 |
| 57.58 | 28 |

Structure:
```
ThTcN4
1.0
-2.622 2.622 6.116
2.622 -2.622 6.116
2.622 2.622 -6.116
Th Tc N
2 2 8
direct
0.375 0.125 0.250 Th
0.625 0.875 0.750 Th
0.125 0.375 0.750 Tc
0.875 0.625 0.250 Tc
0.077 0.196 0.360 N
0.217 0.577 0.381 N
0.304 0.164 0.881 N
0.336 0.717 0.140 N
0.664 0.283 0.860 N
0.696 0.836 0.119 N
0.783 0.423 0.619 N
0.923 0.804 0.640 N
```